Diffraction record for Ti3CoSn2P6O24. The powder diffraction line list is simulated, not measured: it uses a cell relaxed with GGA+U and λ = 1.5418 Å (Cu Kα).
Lines closer than 0.1° are merged.

Main lines, by intensity (10 to 90 degrees two-theta):
| 2θ (°) | I (rel.) |
| --- | --- |
| 20.8 | 100 |
| 31.1 | 95 |
| 23.8 | 77 |
| 36.5 | 35 |
| 48.7 | 31 |
| 33.0 | 28 |
| 25.3 | 25 |
| 57.1 | 25 |

```
Ti3CoSn2P6O24
1.0
4.2651 2.4625 7.7717
-4.2651 2.4625 7.7717
0.0000 -4.9249 7.7717
Ti Co Sn P O
3 1 2 6 24
Cartesian
0.0000 0.0000 0.0000
0.0000 0.0000 4.8268
0.0000 0.0000 16.2489
0.0000 0.0000 11.8785
0.0000 0.0000 8.7713
0.0000 0.0000 19.5219
-3.0944 0.3541 10.1787
-1.2600 -2.1303 14.0171
1.2405 -2.8569 10.1787
-1.2149 2.1563 14.0170
1.8539 2.5028 10.1787
2.4749 -0.0261 14.0170
-3.4746 1.0806 8.8879
-1.0899 -1.1403 5.9501
-3.7682 0.9222 11.4336
-2.6923 -2.5497 14.4069
0.8015 -3.5494 8.8879
-1.5450 0.3681 10.3192
-0.4426 1.5140 5.9501
-1.3107 -1.1690 12.8484
1.0854 -3.7244 11.4336
0.4538 -1.5221 10.3192
1.5324 -0.3737 5.9501
-0.5920 -1.4895 15.3042
-1.4909 -0.0744 17.7943
-0.9939 1.2574 15.3042
-0.3570 1.7196 12.8484
1.0913 1.1540 10.3192
1.6677 -0.5506 12.8484
-0.8619 3.6065 14.4069
0.8099 -1.2540 17.7943
1.5859 0.2321 15.3042
2.6732 2.4688 8.8879
0.6810 1.3284 17.7943
3.5543 -1.0568 14.4069
2.6827 2.8022 11.4336
```